# 1
The following is a computed XRD peak list of Ba5Li4Tl4. It was derived from a cell relaxed with PBE, using Cu Kα.

Principal peaks in the range 2θ from 10° to 90°, by intensity:
| Position (°2θ) | I/Imax |
| --- | --- |
| 27.1 | 100.0 |
| 24.0 | 85.2 |
| 32.5 | 65.6 |
| 27.9 | 63.3 |
| 29.9 | 55.6 |
| 36.7 | 38.5 |

Structural model:
Cell lengths 14.2833, 14.2833, 4.5449 Å; angles 90.00, 90.00, 90.00 degrees
Space group I4/m (No. 87)
One atom of each set of equivalent atoms:
Ba 0.0000 0.0000 0.0000 x2
Ba 0.1304 0.2159 0.5000 x8
Li 0.0672 0.5899 0.5000 x8
Tl 0.0553 0.7324 0.0000 x8

---

# 2
The following is a computed XRD peak list of SmEr2NpP4. It was derived from a cell relaxed with PBE, using Cu Kα.

Principal peaks in the range 2θ from 10° to 90°, by intensity:
| Position (°2θ) | I/Imax |
| --- | --- |
| 31.7 | 100.0 |
| 27.3 | 94.6 |
| 45.3 | 36.8 |
| 45.4 | 36.7 |
| 53.8 | 27.2 |
| 53.8 | 19.3 |

Structural model:
Cell lengths 6.9136, 3.9932, 6.9304 Å; angles 90.00, 109.35, 90.00 degrees
Space group P2/m (No. 10)
One atom of each set of equivalent atoms:
Sm 0.0000 0.0000 0.0000 x1
Er 0.5000 0.0000 0.5000 x1
Er 0.5000 0.5000 0.0000 x1
Np 0.0000 0.5000 0.5000 x1
P 0.2507 0.0000 0.7447 x2
P 0.2535 0.5000 0.2583 x2

---

# 3
The following is a computed XRD peak list of Mg3Al3O8. It was derived from a cell relaxed with PBE, using Cu Kα.

Principal peaks in the range 2θ from 10° to 90°, by intensity:
| Position (°2θ) | I/Imax |
| --- | --- |
| 44.1 | 100.0 |
| 36.3 | 93.4 |
| 63.1 | 73.9 |
| 65.0 | 68.4 |
| 35.6 | 47.3 |
| 36.7 | 46.6 |

Structural model:
Cell lengths 5.7422, 5.7422, 14.6169 Å; angles 90.00, 90.00, 120.00 degrees
Space group R-3m (No. 166, hexagonal axes)
One atom of each set of equivalent atoms:
Mg 0.0000 0.5000 0.0000 x9
Al 0.0000 0.0000 0.1289 x6
Al 0.0000 0.0000 0.5000 x3
O 0.0000 0.0000 0.2514 x6
O 0.0134 0.5067 0.2446 x18

---

# 4
The following is a computed XRD peak list of Nd2Y3Ho6. It was derived from a cell relaxed with PBE, using Cu Kα.

Principal peaks in the range 2θ from 10° to 90°, by intensity:
| Position (°2θ) | I/Imax |
| --- | --- |
| 28.7 | 100.0 |
| 34.4 | 93.7 |
| 37.9 | 60.2 |
| 66.2 | 28.2 |
| 50.8 | 27.1 |
| 10.7 | 26.7 |

Structural model:
Cell lengths 4.7471, 4.7471, 33.0753 Å; angles 90.00, 90.00, 90.00 degrees
Space group I4/mmm (No. 139)
One atom of each set of equivalent atoms:
Nd 0.0000 0.0000 0.0463 x4
Y 0.0000 0.0000 0.2970 x4
Y 0.0000 0.0000 0.5000 x2
Ho 0.0000 0.0000 0.1930 x4
Ho 0.0000 0.5000 0.1212 x8

---

# 5
The following is a computed XRD peak list of CePrNd4Se8. It was derived from a cell relaxed with PBE, using Cu Kα.

Principal peaks in the range 2θ from 10° to 90°, by intensity:
| Position (°2θ) | I/Imax |
| --- | --- |
| 41.4 | 100.0 |
| 23.9 | 88.1 |
| 28.9 | 51.0 |
| 37.9 | 47.1 |
| 20.4 | 24.9 |
| 75.5 | 23.7 |

Structural model:
Cell lengths 8.7195, 8.7195, 21.4101 Å; angles 90.00, 90.00, 120.00 degrees
Space group R3m (No. 160, hexagonal axes)
One atom of each set of equivalent atoms:
Ce 0.0000 0.0000 0.0000 x3
Pr 0.0000 0.0000 0.6244 x3
Nd 0.0000 0.0000 0.3751 x3
Nd 0.1670 0.3341 0.8330 x9
Se 0.0000 0.0000 0.2426 x3
Se 0.0000 0.0000 0.7578 x3
Se 0.0198 0.5099 0.7525 x9
Se 0.1778 0.3555 0.5801 x9

---

# 6
The following is a computed XRD peak list of Nd2Ga2AgPd5. It was derived from a cell relaxed with PBE, using Cu Kα.

Principal peaks in the range 2θ from 10° to 90°, by intensity:
| Position (°2θ) | I/Imax |
| --- | --- |
| 37.0 | 100.0 |
| 40.3 | 35.6 |
| 34.7 | 20.8 |
| 62.2 | 19.0 |
| 30.9 | 16.8 |
| 48.0 | 16.3 |

Structural model:
Cell lengths 10.0008, 10.0008, 3.7873 Å; angles 90.00, 90.00, 90.00 degrees
Space group P4/mbm (No. 127)
One atom of each set of equivalent atoms:
Nd 0.1789 0.3211 0.0000 x4
Ga 0.1195 0.6195 0.0000 x4
Ag 0.0000 0.0000 0.0000 x2
Pd 0.0000 0.5000 0.5000 x2
Pd 0.0624 0.7905 0.5000 x8

---

# 7
The following is a computed XRD peak list of Pr8OsAu2. It was derived from a cell relaxed with PBE, using Cu Kα.

Principal peaks in the range 2θ from 10° to 90°, by intensity:
| Position (°2θ) | I/Imax |
| --- | --- |
| 31.4 | 100.0 |
| 32.6 | 93.6 |
| 34.3 | 53.3 |
| 31.2 | 51.7 |
| 29.7 | 41.4 |
| 28.3 | 27.9 |

Structural model:
Cell lengths 8.2626, 15.8946, 6.5985 Å; angles 90.00, 128.03, 90.00 degrees
Space group Cm (No. 8)
One atom of each set of equivalent atoms:
Pr 0.0000 0.0000 0.0000 x2
Pr 0.0241 0.3857 0.2589 x4
Pr 0.0541 0.1252 0.5647 x4
Pr 0.1970 0.3083 0.9020 x4
Pr 0.4478 0.0000 0.6730 x2
Os 0.2808 0.5000 0.1926 x2
Au 0.2388 0.2068 0.3339 x4

---

# 8
The following is a computed XRD peak list of LaSn. It was derived from a cell relaxed with PBE, using Cu Kα.

Principal peaks in the range 2θ from 10° to 90°, by intensity:
| Position (°2θ) | I/Imax |
| --- | --- |
| 27.2 | 100.0 |
| 38.8 | 77.1 |
| 48.0 | 27.7 |
| 63.5 | 23.0 |
| 70.3 | 16.9 |
| 63.3 | 12.5 |

Structural model:
Cell lengths 6.5536, 6.5536, 6.5733 Å; angles 90.00, 90.00, 90.00 degrees
Space group P4_2/mnm (No. 136)
One atom of each set of equivalent atoms:
La 0.2396 0.2396 0.0000 x4
Sn 0.2368 0.2368 0.5000 x4

---

# 9
The following is a computed XRD peak list of LiCu2Te. It was derived from a cell relaxed with PBE, using Cu Kα.

Principal peaks in the range 2θ from 10° to 90°, by intensity:
| Position (°2θ) | I/Imax |
| --- | --- |
| 33.6 | 100.0 |
| 50.5 | 50.8 |
| 23.1 | 40.8 |
| 44.4 | 37.7 |
| 27.1 | 30.1 |
| 40.1 | 25.3 |

Structural model:
Cell lengths 3.9470, 3.9470, 17.9740 Å; angles 90.00, 90.00, 90.00 degrees
Space group I-42d (No. 122)
One atom of each set of equivalent atoms:
Li 0.0000 0.0000 0.0000 x4
Cu 0.2455 0.2500 0.1250 x8
Te 0.0000 0.0000 0.5000 x4

---

# 10
The following is a computed XRD peak list of CaAg2F5. It was derived from a cell relaxed with PBE, using Cu Kα.

Principal peaks in the range 2θ from 10° to 90°, by intensity:
| Position (°2θ) | I/Imax |
| --- | --- |
| 24.4 | 100.0 |
| 30.3 | 39.9 |
| 35.4 | 38.6 |
| 38.3 | 33.8 |
| 20.1 | 33.6 |
| 46.4 | 33.2 |

Structural model:
Cell lengths 8.6695, 11.1856, 5.7755 Å; angles 90.00, 90.00, 90.00 degrees
Space group Pbcn (No. 60)
One atom of each set of equivalent atoms:
Ca 0.0000 0.0933 0.2500 x4
Ag 0.1794 0.3833 0.0932 x8
F 0.0000 0.4912 0.2500 x4
F 0.1514 0.0360 0.9473 x8
F 0.1702 0.2313 0.3748 x8

---

# 11
The following is a computed XRD peak list of Pr3CoI3. It was derived from a cell relaxed with PBE, using Cu Kα.

Principal peaks in the range 2θ from 10° to 90°, by intensity:
| Position (°2θ) | I/Imax |
| --- | --- |
| 28.0 | 100.0 |
| 41.5 | 43.7 |
| 29.0 | 38.2 |
| 40.0 | 27.2 |
| 29.9 | 18.0 |
| 51.4 | 15.3 |

Structural model:
Cell lengths 9.3852, 4.3584, 12.3145 Å; angles 90.00, 93.02, 90.00 degrees
Space group P2_1/m (No. 11)
One atom of each set of equivalent atoms:
Pr 0.0958 0.2500 0.3994 x2
Pr 0.1114 0.2500 0.8260 x2
Pr 0.3070 0.7500 0.6164 x2
Co 0.1120 0.2500 0.6191 x2
I 0.1333 0.2500 0.1192 x2
I 0.3624 0.7500 0.8784 x2
I 0.3925 0.7500 0.3621 x2

---

# 12
The following is a computed XRD peak list of BaErAg. It was derived from a cell relaxed with PBE, using Cu Kα.

Principal peaks in the range 2θ from 10° to 90°, by intensity:
| Position (°2θ) | I/Imax |
| --- | --- |
| 27.2 | 100.0 |
| 35.4 | 88.0 |
| 33.3 | 87.9 |
| 28.1 | 77.1 |
| 10.8 | 52.4 |
| 45.8 | 39.6 |

Structural model:
Cell lengths 5.0723, 5.0723, 8.1544 Å; angles 90.00, 90.00, 90.00 degrees
Space group P4/nmm (No. 129, origin choice 2)
One atom of each set of equivalent atoms:
Ba 0.2500 0.2500 0.1316 x2
Er 0.2500 0.7500 0.5000 x2
Ag 0.2500 0.2500 0.6985 x2